Entry 1:
Theoretical X-ray powder pattern
Compound: Nd3Dy8Y
Radiation: a wavelength of 1.5418 Å
Structure: DFT lattice parameters and positions (GGA-PBE)
Kinematic intensities with the Lorentz-polarization factor, no thermal factor.

Largest 10 diffraction maxima, in order of rising 2θ, 2θ from 10° to 90°:
30.59°, rel. 100; 35.47°, rel. 51; 51.03°, rel. 36; 60.65°, rel. 29; 60.74°, rel. 14; 63.68°, rel. 12; 75.01°, rel. 4; 83.18°, rel. 15; 85.79°, rel. 8; 85.92°, rel. 7

Crystal structure
```
12
Lattice="5.0557 -5.0675 0.0000 5.0557 5.0675 0.0000 -2.5257 0.0000 7.5936" Properties=species:S:1:pos:R:3 pbc="T T T"
Nd 0.0000 0.0000 0.0000
Nd 2.5297 2.5352 5.0536
Nd 2.5297 -2.5352 5.0536
Dy 2.5282 2.5336 0.0143
Dy 0.0031 0.0000 5.0546
Dy 5.0576 2.5295 2.5176
Dy 2.5321 0.0000 2.5310
Dy 2.5282 -2.5336 0.0143
Dy 5.0557 0.0000 5.0418
Dy 5.0576 -2.5295 2.5176
Dy 7.5818 0.0000 2.5275
Y 5.0577 0.0000 0.0047
```

***

Entry 2:
Theoretical X-ray powder pattern
Compound: Nd12Dy3Y
Radiation: a wavelength of 1.5418 Å
Structure: DFT lattice parameters and positions (GGA-PBE)
Kinematic intensities with the Lorentz-polarization factor, no thermal factor.

Largest 10 diffraction maxima, in order of rising 2θ, 2θ from 10° to 90°:
30.00°, rel. 100; 34.75°, rel. 34; 34.85°, rel. 17; 50.01°, rel. 36; 59.38°, rel. 29; 59.52°, rel. 14; 62.36°, rel. 12; 81.21°, rel. 6; 81.34°, rel. 12; 83.81°, rel. 11

Crystal structure
```
16
Lattice="5.1637 0.0000 0.0000 0.0000 5.1637 0.0000 0.0000 0.0000 20.5926" Properties=species:S:1:pos:R:3 pbc="T T T"
Nd 0.0000 0.0000 0.0000
Nd 0.0000 0.0000 5.1412
Nd 0.0000 0.0000 10.2963
Nd 0.0000 0.0000 15.4514
Nd 0.0000 2.5819 2.5701
Nd 0.0000 2.5819 7.7130
Nd 0.0000 2.5819 12.8796
Nd 0.0000 2.5819 18.0225
Nd 2.5819 0.0000 2.5701
Nd 2.5819 0.0000 7.7130
Nd 2.5819 0.0000 12.8796
Nd 2.5819 0.0000 18.0225
Dy 2.5819 2.5819 0.0000
Dy 2.5819 2.5819 5.1439
Dy 2.5819 2.5819 15.4486
Y 2.5819 2.5819 10.2963
```

***

Entry 3:
Theoretical X-ray powder pattern
Compound: Nd9Dy4Zn11
Radiation: a wavelength of 1.5418 Å
Structure: DFT lattice parameters and positions (GGA-PBE)
Kinematic intensities with the Lorentz-polarization factor, no thermal factor.

Largest 10 diffraction maxima, in order of rising 2θ, 2θ from 10° to 90°:
24.19°, rel. 18; 25.16°, rel. 26; 33.75°, rel. 100; 34.48°, rel. 89; 35.19°, rel. 84; 42.57°, rel. 22; 51.65°, rel. 20; 60.37°, rel. 15; 61.76°, rel. 17; 63.14°, rel. 32

Crystal structure
```
24
Lattice="7.6739 -11.0372 0.0000 7.6739 11.0372 0.0000 0.0000 0.0000 3.5392" Properties=species:S:1:pos:R:3 pbc="T T T"
Nd 0.0000 0.0000 0.0000
Nd 5.8994 5.6985 0.0000
Nd 5.8147 1.8967 0.0000
Nd 9.4484 5.6985 0.0000
Nd 5.8147 -1.8967 0.0000
Nd 9.5331 1.8967 0.0000
Nd 5.8994 -5.6985 0.0000
Nd 9.5331 -1.8967 0.0000
Nd 9.4484 -5.6985 0.0000
Dy 2.4110 2.0432 0.0000
Dy 2.4110 -2.0432 0.0000
Dy 12.9368 2.0432 0.0000
Dy 12.9368 -2.0432 0.0000
Zn 4.0127 3.9413 1.7696
Zn 7.6739 8.0622 1.7696
Zn 3.8392 0.0000 1.7696
Zn 7.6739 3.7155 1.7696
Zn 4.0127 -3.9413 1.7696
Zn 7.6739 0.0000 1.7696
Zn 11.3351 3.9413 1.7696
Zn 7.6739 -3.7155 1.7696
Zn 11.5086 0.0000 1.7696
Zn 7.6739 -8.0622 1.7696
Zn 11.3351 -3.9413 1.7696
```

***

Entry 4:
Theoretical X-ray powder pattern
Compound: Nd2Dy2Zn3
Radiation: a wavelength of 1.5418 Å
Structure: DFT lattice parameters and positions (GGA-PBE)
Kinematic intensities with the Lorentz-polarization factor, no thermal factor.

Largest 10 diffraction maxima, in order of rising 2θ, 2θ from 10° to 90°:
24.16°, rel. 21; 27.96°, rel. 10; 31.35°, rel. 100; 37.28°, rel. 74; 49.48°, rel. 24; 51.65°, rel. 32; 63.55°, rel. 23; 65.41°, rel. 13; 67.23°, rel. 16; 77.77°, rel. 12

Crystal structure
```
14
Lattice="-4.5122 4.5122 4.5122 4.5122 -4.5122 4.5122 4.5122 4.5122 -4.5122" Properties=species:S:1:pos:R:3 pbc="T T T"
Nd 2.9441 1.5681 -1.5681
Nd 1.5681 -1.5681 2.9441
Nd 1.5681 1.5681 1.5681
Nd -1.5681 2.9441 1.5681
Dy 5.1396 -0.6274 0.6274
Dy 0.6274 5.1396 -0.6274
Dy -0.6274 0.6274 5.1396
Dy 3.8849 3.8849 3.8849
Zn 4.5122 -2.2561 3.2592
Zn 3.2592 4.5122 -2.2561
Zn 4.5122 2.2561 1.2530
Zn 2.2561 1.2530 4.5122
Zn 1.2530 4.5122 2.2561
Zn -2.2561 3.2592 4.5122
```

***

Entry 5:
Theoretical X-ray powder pattern
Compound: Nd2Dy3Zn2
Radiation: a wavelength of 1.5418 Å
Structure: DFT lattice parameters and positions (GGA-PBE)
Kinematic intensities with the Lorentz-polarization factor, no thermal factor.

Largest 10 diffraction maxima, in order of rising 2θ, 2θ from 10° to 90°:
25.99°, rel. 18; 29.33°, rel. 22; 30.69°, rel. 33; 32.05°, rel. 100; 34.51°, rel. 61; 35.38°, rel. 92; 50.08°, rel. 18; 58.13°, rel. 22; 61.83°, rel. 30; 62.24°, rel. 22

Crystal structure
```
14
Lattice="3.6430 0.0000 0.0000 0.0000 30.4461 0.0000 0.0000 0.0000 3.5585" Properties=species:S:1:pos:R:3 pbc="T T T"
Nd 0.0000 6.0574 0.0000
Nd 0.0000 24.3887 0.0000
Nd 1.8215 9.1656 0.0000
Nd 1.8215 21.2805 0.0000
Dy 0.0000 2.4915 0.0000
Dy 0.0000 15.2231 1.7792
Dy 0.0000 27.9546 0.0000
Dy 1.8215 0.0000 1.7792
Dy 1.8215 12.7315 0.0000
Dy 1.8215 17.7146 0.0000
Zn 0.0000 11.0509 1.7792
Zn 0.0000 19.3952 1.7792
Zn 1.8215 4.1721 1.7792
Zn 1.8215 26.2740 1.7792
```

***

Entry 6:
Theoretical X-ray powder pattern
Compound: Nd6DyZn2
Radiation: a wavelength of 1.5418 Å
Structure: DFT lattice parameters and positions (GGA-PBE)
Kinematic intensities with the Lorentz-polarization factor, no thermal factor.

Largest 10 diffraction maxima, in order of rising 2θ, 2θ from 10° to 90°:
27.92°, rel. 8; 31.03°, rel. 24; 31.77°, rel. 23; 32.74°, rel. 100; 47.13°, rel. 8; 48.88°, rel. 10; 56.29°, rel. 10; 57.22°, rel. 12; 59.02°, rel. 13; 59.49°, rel. 8

Crystal structure
```
9
Lattice="6.4100 -1.8632 0.0000 6.4100 1.8632 0.0000 -4.0720 0.0000 11.3978" Properties=species:S:1:pos:R:3 pbc="T T T"
Nd -0.9677 0.0000 3.7150
Nd 3.4851 0.0000 1.4150
Nd 2.3386 0.0000 4.6490
Nd 6.4094 0.0000 6.7488
Nd 5.2629 0.0000 9.9828
Nd 9.7156 0.0000 7.6828
Dy 0.0000 0.0000 0.0000
Zn 1.2859 0.0000 9.1890
Zn 7.4620 0.0000 2.2087
```